Sr2CeBiO6: simulated X-ray diffraction stick pattern (Cu Kα (weighted mean of Kα1 and Kα2)), based on a crystal structure in the Materials Project, relaxed with PBE.
Neutral-atom scattering factors, no anomalous dispersion.

Most intense lines, 5 to 70 degrees two-theta, by angle:
2theta	d_spacing	intensity
17.44	5.085	3.6
20.16	4.404	20.4
28.67	3.114	100.0
33.75	2.656	2.5
40.99	2.202	30.8
46.09	1.970	9.5
50.78	1.798	42.5
59.35	1.557	19.8
63.36	1.468	4.5
67.22	1.393	18.8

```
10
Lattice="0.000 4.404 4.404 4.404 0.000 4.404 4.404 4.404 0.000" Properties=species:S:1:pos:R:3 pbc="T T T"
Sr 2.202 2.202 2.202
Sr 6.606 6.606 6.606
Ce 0.000 0.000 0.000
Bi 4.404 4.404 4.404
O 4.404 4.404 2.200
O 4.404 2.200 4.404
O 6.609 4.404 4.404
O 2.200 4.404 4.404
O 4.404 6.609 4.404
O 4.404 4.404 6.609
```


Sr2CeBiO6: simulated X-ray diffraction stick pattern (Cu Kα (weighted mean of Kα1 and Kα2)), based on a crystal structure in the Materials Project, relaxed with PBE.
Neutral-atom scattering factors, no anomalous dispersion.

Most intense lines, 5 to 70 degrees two-theta, by angle:
2theta	d_spacing	intensity
17.64	5.028	3.6
20.40	4.354	18.2
29.00	3.079	100.0
34.15	2.626	2.5
41.48	2.177	27.1
46.64	1.947	8.8
51.40	1.778	47.0
60.10	1.540	16.3
64.16	1.451	3.6
68.09	1.377	18.9

```
40
Lattice="8.709 0.000 0.000 0.000 8.709 0.000 0.000 0.000 8.709" Properties=species:S:1:pos:R:3 pbc="T T T"
Sr 2.177 2.177 2.177
Sr 2.177 2.177 6.532
Sr 2.177 6.532 2.177
Sr 2.177 6.532 6.532
Sr 6.532 2.177 2.177
Sr 6.532 2.177 6.532
Sr 6.532 6.532 2.177
Sr 6.532 6.532 6.532
Ce 0.000 0.000 0.000
Ce 0.000 4.354 4.354
Ce 4.354 0.000 4.354
Ce 4.354 4.354 0.000
Bi 0.000 0.000 4.354
Bi 0.000 4.354 0.000
Bi 4.354 0.000 0.000
Bi 4.354 4.354 4.354
O 0.338 4.791 6.519
O 0.338 8.272 6.544
O 0.437 2.165 8.371
O 0.437 2.189 4.692
O 2.165 4.692 3.918
O 2.165 8.371 0.437
O 2.189 4.692 0.437
O 2.189 8.371 3.918
O 3.918 2.165 4.692
O 3.918 2.189 8.371
O 4.017 4.791 6.544
O 4.017 8.272 6.519
O 4.692 0.437 2.189
O 4.692 3.918 2.165
O 4.791 6.519 0.338
O 4.791 6.544 4.017
O 6.519 0.338 4.791
O 6.519 4.017 8.272
O 6.544 0.338 8.272
O 6.544 4.017 4.791
O 8.272 6.519 4.017
O 8.272 6.544 0.338
O 8.371 0.437 2.165
O 8.371 3.918 2.189
```


Ce3Bi4Pd3: simulated X-ray diffraction stick pattern (Cu Kα (weighted mean of Kα1 and Kα2)), based on a crystal structure in the Materials Project, relaxed with PBE.
Neutral-atom scattering factors, no anomalous dispersion.

Most intense lines, 5 to 70 degrees two-theta, by angle:
2theta	d_spacing	intensity
21.59	4.116	8.8
27.98	3.188	33.9
33.25	2.695	100.0
39.99	2.255	21.1
44.00	2.058	20.6
45.89	1.977	18.3
56.24	1.636	10.6
57.84	1.594	12.4
62.47	1.487	9.7
65.45	1.426	9.0

```
20
Lattice="-5.041 5.041 5.041 5.041 -5.041 5.041 5.041 5.041 -5.041" Properties=species:S:1:pos:R:3 pbc="T T T"
Ce 7.562 1.260 0.000
Ce 3.781 0.000 2.521
Ce 2.521 3.781 0.000
Ce 0.000 2.521 3.781
Ce 1.260 0.000 7.562
Ce 0.000 7.562 1.260
Bi 4.184 0.858 -0.858
Bi 6.704 -1.663 1.663
Bi 0.858 0.858 0.858
Bi 0.858 -0.858 4.184
Bi -0.858 4.184 0.858
Bi 1.663 6.704 -1.663
Bi 3.379 3.379 3.379
Bi -1.663 1.663 6.704
Pd 5.041 -2.521 3.781
Pd 3.781 5.041 -2.521
Pd 5.041 2.521 1.260
Pd 2.521 1.260 5.041
Pd 1.260 5.041 2.521
Pd -2.521 3.781 5.041
```


Ce4Bi8Pd3: simulated X-ray diffraction stick pattern (Cu Kα (weighted mean of Kα1 and Kα2)), based on a crystal structure in the Materials Project, relaxed with PBE.
Neutral-atom scattering factors, no anomalous dispersion.

Most intense lines, 5 to 70 degrees two-theta, by angle:
2theta	d_spacing	intensity
26.61	3.350	12.3
27.87	3.202	20.3
28.56	3.126	31.3
32.89	2.723	100.0
38.51	2.338	47.6
46.76	1.943	10.2
48.20	1.888	19.1
55.31	1.661	8.9
55.60	1.653	16.6
66.13	1.413	27.3

```
15
Lattice="4.675 0.000 0.000 0.000 4.675 0.000 0.000 0.000 19.209" Properties=species:S:1:pos:R:3 pbc="T T T"
Ce 0.000 2.338 2.146
Ce 0.000 2.338 11.839
Ce 2.338 0.000 7.371
Ce 2.338 0.000 17.063
Bi 0.000 0.000 4.790
Bi 0.000 0.000 14.419
Bi 0.000 2.338 7.925
Bi 0.000 2.338 17.675
Bi 2.338 0.000 1.534
Bi 2.338 0.000 11.285
Bi 2.338 2.338 4.793
Bi 2.338 2.338 14.416
Pd 0.000 0.000 9.605
Pd 2.338 2.338 0.000
Pd 2.338 2.338 9.605
```


CeBiRh: simulated X-ray diffraction stick pattern (Cu Kα (weighted mean of Kα1 and Kα2)), based on a crystal structure in the Materials Project, relaxed with PBE.
Neutral-atom scattering factors, no anomalous dispersion.

Most intense lines, 5 to 70 degrees two-theta, by angle:
2theta	d_spacing	intensity
30.31	2.949	35.5
31.60	2.831	65.8
32.40	2.764	100.0
32.99	2.715	40.7
37.32	2.410	62.7
37.95	2.371	35.0
38.88	2.317	74.5
50.65	1.802	24.3
54.27	1.690	24.1
63.02	1.475	37.9

```
12
Lattice="7.456 0.000 0.000 0.000 4.819 0.000 0.000 0.000 7.925" Properties=species:S:1:pos:R:3 pbc="T T T"
Ce 0.120 1.205 1.520
Ce 3.608 3.614 5.482
Ce 3.848 1.205 2.443
Ce 7.335 3.614 6.406
Bi 1.296 1.205 4.696
Bi 2.432 3.614 0.734
Bi 5.024 1.205 7.192
Bi 6.160 3.614 3.229
Rh 1.784 3.614 3.428
Rh 1.944 1.205 7.390
Rh 5.512 3.614 0.535
Rh 5.672 1.205 4.498
```


Cs2HgBiCl6: simulated X-ray diffraction stick pattern (Cu Kα (weighted mean of Kα1 and Kα2)), based on a crystal structure in the Materials Project, relaxed with PBE.
Neutral-atom scattering factors, no anomalous dispersion.

Most intense lines, 5 to 70 degrees two-theta, by angle:
2theta	d_spacing	intensity
15.75	5.627	15.3
22.35	3.979	100.0
31.81	2.813	46.5
35.68	2.516	8.5
39.22	2.297	48.3
45.60	1.989	33.1
51.35	1.779	22.9
56.67	1.624	11.4
61.68	1.504	26.7
66.47	1.407	5.3

```
10
Lattice="0.000 5.627 5.627 5.627 0.000 5.627 5.627 5.627 0.000" Properties=species:S:1:pos:R:3 pbc="T T T"
Cs 2.813 2.813 2.813
Cs 8.440 8.440 8.440
Hg 0.000 0.000 0.000
Bi 5.627 5.627 5.627
Cl 5.627 5.627 2.900
Cl 5.627 2.900 5.627
Cl 8.353 5.627 5.627
Cl 2.900 5.627 5.627
Cl 5.627 8.353 5.627
Cl 5.627 5.627 8.353
```


Cs2LiBiCl6: simulated X-ray diffraction stick pattern (Cu Kα (weighted mean of Kα1 and Kα2)), based on a crystal structure in the Materials Project, relaxed with PBE.
Neutral-atom scattering factors, no anomalous dispersion.

Most intense lines, 5 to 70 degrees two-theta, by angle:
2theta	d_spacing	intensity
14.26	6.210	48.6
23.39	3.803	100.0
27.50	3.243	35.0
28.75	3.105	18.9
33.32	2.689	61.5
36.41	2.467	18.2
41.11	2.195	47.4
47.84	1.901	42.5
53.91	1.701	22.1
64.87	1.437	25.9

```
10
Lattice="0.000 5.378 5.378 5.378 0.000 5.378 5.378 5.378 0.000" Properties=species:S:1:pos:R:3 pbc="T T T"
Cs 2.689 2.689 2.689
Cs 8.067 8.067 8.067
Li 0.000 0.000 0.000
Bi 5.378 5.378 5.378
Cl 5.378 5.378 2.649
Cl 5.378 2.649 5.378
Cl 8.107 5.378 5.378
Cl 2.649 5.378 5.378
Cl 5.378 8.107 5.378
Cl 5.378 5.378 8.107
```


Cs2RbBiCl6: simulated X-ray diffraction stick pattern (Cu Kα (weighted mean of Kα1 and Kα2)), based on a crystal structure in the Materials Project, relaxed with PBE.
Neutral-atom scattering factors, no anomalous dispersion.

Most intense lines, 5 to 70 degrees two-theta, by angle:
2theta	d_spacing	intensity
13.09	6.763	17.6
21.46	4.141	100.0
25.22	3.532	7.0
30.53	2.928	53.1
37.62	2.391	47.4
43.71	2.071	37.3
49.19	1.852	24.2
54.25	1.691	12.7
59.01	1.565	27.7
67.90	1.380	13.1

```
10
Lattice="0.000 5.857 5.857 5.857 0.000 5.857 5.857 5.857 0.000" Properties=species:S:1:pos:R:3 pbc="T T T"
Cs 2.928 2.928 2.928
Cs 8.785 8.785 8.785
Rb 0.000 0.000 0.000
Bi 5.857 5.857 5.857
Cl 5.857 5.857 3.136
Cl 5.857 3.136 5.857
Cl 8.578 5.857 5.857
Cl 3.136 5.857 5.857
Cl 5.857 8.578 5.857
Cl 5.857 5.857 8.578
```